(1)
Diffraction record for PuPt5. The powder diffractogram is theoretical, not measured: it uses a DFT-relaxed cell (GGA-PBE, the Materials Project) and CuKα.

Crystal structure
```
PuPt5
1.0
0.0000 3.7729 3.7729
3.7729 0.0000 3.7729
3.7729 3.7729 0.0000
Pu Pt
1 5
direct
0.0000 0.0000 0.0000
0.1263 0.6246 0.6246
0.2500 0.2500 0.2500
0.6246 0.1263 0.6246
0.6246 0.6246 0.1263
0.6246 0.6246 0.6246
```

Peak list (12 most intense, 2θ = 10–90°, in order of falling intensity)
d_spacing  I/Imax
2.275  100
2.178  37
1.452  33
2.668  30
1.334  28
1.138  15
1.151  12
1.540  12
1.193  5
1.886  4
4.357  3
1.731  1

---

(2)
Diffraction record for PuPt3. The powder diffractogram is theoretical, not measured: it uses a DFT-relaxed cell (GGA-PBE, the Materials Project) and CuKα.

Crystal structure
```
PuPt3
1.0
-5.2030 5.2030 2.7285
5.2030 -5.2030 2.7285
5.2030 5.2030 -2.7285
Pu Pt
4 12
direct
0.3764 0.1309 0.2475
0.8691 0.1166 0.2455
0.8710 0.6236 0.7545
0.8834 0.1290 0.7525
0.0932 0.0522 0.5065
0.1715 0.5214 0.6009
0.2975 0.4367 0.1171
0.3196 0.1804 0.8829
0.4133 0.9068 0.9590
0.4294 0.8285 0.3499
0.4786 0.0795 0.6501
0.5457 0.5867 0.4935
0.5633 0.6804 0.8608
0.8196 0.7025 0.1392
0.9205 0.5706 0.3991
0.9478 0.4543 0.0410
```

Peak list (12 most intense, 2θ = 10–90°, in order of falling intensity)
d_spacing  I/Imax
2.554  100
2.291  96
2.416  69
2.327  55
1.945  47
2.601  43
1.256  25
1.493  22
1.694  22
2.100  20
1.295  20
1.370  18

---

(3)
Diffraction record for PuPt3. The powder diffractogram is theoretical, not measured: it uses a DFT-relaxed cell (GGA-PBE, the Materials Project) and CuKα.

Crystal structure
```
PuPt3
1.0
4.1606 0.0000 0.0000
0.0000 4.1606 0.0000
0.0000 0.0000 4.1606
Pu Pt
1 3
direct
0.0000 0.0000 0.0000
0.0000 0.5000 0.5000
0.5000 0.0000 0.5000
0.5000 0.5000 0.0000
```

Peak list (7 most intense, 2θ = 10–90°, in order of falling intensity)
d_spacing  I/Imax
2.402  100
2.080  50
1.254  40
1.471  33
1.201  12
4.161  1
2.942  1

---

(4)
Diffraction record for Pu5Pt3. The powder diffractogram is theoretical, not measured: it uses a DFT-relaxed cell (GGA-PBE, the Materials Project) and CuKα.

Crystal structure
```
Pu5Pt3
1.0
8.5200 0.0000 0.0000
-4.2600 7.3785 0.0000
0.0000 0.0000 6.0223
Pu Pt
10 6
direct
0.0000 0.2553 0.2500
0.0000 0.7447 0.7500
0.2553 0.0000 0.2500
0.2553 0.2553 0.7500
0.3333 0.6667 0.0000
0.3333 0.6667 0.5000
0.6667 0.3333 0.0000
0.6667 0.3333 0.5000
0.7447 0.0000 0.7500
0.7447 0.7447 0.2500
0.0000 0.3914 0.7500
0.0000 0.6086 0.2500
0.3914 0.0000 0.7500
0.3914 0.3914 0.2500
0.6086 0.0000 0.2500
0.6086 0.6086 0.7500
```

Peak list (12 most intense, 2θ = 10–90°, in order of falling intensity)
d_spacing  I/Imax
2.459  100
2.531  65
2.789  31
1.629  27
1.325  16
1.739  15
1.284  14
3.011  12
1.294  11
1.938  10
1.573  10
1.106  9